No. 1
# Rb3Ga
Computed XRD peak list, CuKα. Input: a PBE-relaxed structure.
No peak broadening, texture or thermal motion is included.

Cell and atoms:
```
data_Rb3Ga
_cell_length_a 6.269
_cell_length_b 6.269
_cell_length_c 11.272
_cell_angle_alpha 90.00
_cell_angle_beta 90.00
_cell_angle_gamma 90.00
_space_group_name_H-M_alt 'I 4/m m m'
_space_group_IT_number 139
_space_group_name_Hall '-I 4 2'
loop_
_atom_site_label
_atom_site_fract_x
_atom_site_fract_y
_atom_site_fract_z
Rb1 0.000 0.000 0.000
Rb2 0.000 0.500 0.250
Ga1 0.000 0.000 0.500
```

Most intense lines, 2θ = 5–70°, in order of rising 2θ:
| 2θ (°) | Rel. int. |
| --- | --- |
| 25.57 | 100.0 |
| 28.48 | 38.0 |
| 31.75 | 14.2 |
| 40.71 | 14.2 |
| 43.17 | 23.9 |
| 48.69 | 33.4 |

---

No. 2
# Sc4S3N2
Computed XRD peak list, CuKα. Input: a PBE-relaxed structure.
No peak broadening, texture or thermal motion is included.

Cell and atoms:
```
data_Sc4S3N2
_cell_length_a 12.123
_cell_length_b 3.592
_cell_length_c 9.199
_cell_angle_alpha 90.00
_cell_angle_beta 127.61
_cell_angle_gamma 90.00
_space_group_name_H-M_alt 'C 1 2/m 1'
_space_group_IT_number 12
_space_group_name_Hall '-C 2y'
loop_
_atom_site_label
_atom_site_fract_x
_atom_site_fract_y
_atom_site_fract_z
Sc1 0.062 0.000 0.349
Sc2 0.234 0.500 0.851
S1 0.000 0.500 0.500
S2 0.175 0.500 0.282
N1 0.140 0.000 0.866
```

Most intense lines, 2θ = 5–70°, in order of rising 2θ:
| 2θ (°) | Rel. int. |
| --- | --- |
| 27.80 | 38.3 |
| 34.24 | 100.0 |
| 39.08 | 21.0 |
| 40.90 | 25.0 |
| 48.17 | 21.2 |
| 50.84 | 16.2 |

---

No. 3
# Zn3Rh
Computed XRD peak list, CuKα. Input: a PBE-relaxed structure.
No peak broadening, texture or thermal motion is included.

Cell and atoms:
```
data_Zn3Rh
_cell_length_a 3.720
_cell_length_b 3.720
_cell_length_c 8.156
_cell_angle_alpha 90.00
_cell_angle_beta 90.00
_cell_angle_gamma 90.00
_space_group_name_H-M_alt 'I 4/m m m'
_space_group_IT_number 139
_space_group_name_Hall '-I 4 2'
loop_
_atom_site_label
_atom_site_fract_x
_atom_site_fract_y
_atom_site_fract_z
Zn1 0.000 0.000 0.000
Zn2 0.000 0.500 0.250
Rh1 0.000 0.000 0.500
```

Most intense lines, 2θ = 5–70°, in order of rising 2θ:
| 2θ (°) | Rel. int. |
| --- | --- |
| 21.79 | 1.6 |
| 26.33 | 3.8 |
| 40.83 | 100.0 |
| 44.43 | 19.5 |
| 48.98 | 29.0 |
| 68.26 | 20.4 |

---

Question: Number 2 is which compound?
Answer: Sc4S3N2